The following is a computed XRD peak list of Tb5Nd3Bi8. It was derived from a cell relaxed with GGA-PBE, using Cu Kα, 1.54184 Å.
Neutral-atom scattering factors, no anomalous dispersion.

Crystal structure
```
Tb5Nd3Bi8
1.0
4.538 2.620 7.408
-4.538 2.620 7.408
0.000 -5.241 7.408
Tb Nd Bi
5 3 8
Direct
0.000 0.000 0.000 Tb
0.000 0.500 0.500 Tb
0.500 0.000 0.500 Tb
0.500 0.500 0.000 Tb
0.500 0.500 0.500 Tb
0.000 0.000 0.500 Nd
0.000 0.500 0.000 Nd
0.500 0.000 0.000 Nd
0.250 0.250 0.745 Bi
0.250 0.745 0.250 Bi
0.253 0.253 0.253 Bi
0.255 0.750 0.750 Bi
0.745 0.250 0.250 Bi
0.747 0.747 0.747 Bi
0.750 0.255 0.750 Bi
0.750 0.750 0.255 Bi
```

Main lines, most intense first (15 to 90 degrees two-theta):
d/Å, 2θ (°), Rel. int.
3.209, 27.8, 100
2.269, 39.7, 78
1.435, 65.0, 37
1.853, 49.2, 28
1.310, 72.1, 28
1.604, 57.4, 14
1.134, 85.6, 9
3.705, 24.0, 4
1.935, 47.0, 2
1.472, 63.2, 1
1.235, 77.2, 1


The following is a computed XRD peak list of SnPdAu6. It was derived from a cell relaxed with GGA-PBE, using Cu Kα, 1.54184 Å.
Neutral-atom scattering factors, no anomalous dispersion.

Crystal structure
```
SnPdAu6
1.0
5.893 0.000 0.000
-2.947 5.104 0.000
0.000 0.000 4.860
Sn Pd Au
1 1 6
Direct
0.000 0.000 0.000 Sn
0.667 0.333 0.500 Pd
0.168 0.337 0.500 Au
0.168 0.832 0.500 Au
0.503 0.005 0.000 Au
0.503 0.497 0.000 Au
0.663 0.832 0.500 Au
0.995 0.497 0.000 Au
```

Main lines, most intense first (15 to 90 degrees two-theta):
d/Å, 2θ (°), Rel. int.
2.259, 39.9, 100
2.430, 37.0, 27
2.552, 35.2, 23
1.260, 75.5, 21
1.368, 68.6, 21
1.473, 63.1, 18
1.760, 52.0, 16
1.234, 77.3, 15
3.520, 25.3, 5
1.130, 86.1, 4
1.097, 89.3, 4
1.215, 78.8, 3


The following is a computed XRD peak list of CePuZrN3. It was derived from a cell relaxed with GGA-PBE, using Cu Kα, 1.54184 Å.
Neutral-atom scattering factors, no anomalous dispersion.

Crystal structure
```
CePuZrN3
1.0
6.966 0.000 0.000
0.000 3.240 0.000
-0.452 0.000 7.978
Ce Pu Zr N
2 2 2 6
Direct
0.142 0.250 0.161 Ce
0.858 0.750 0.839 Ce
0.121 0.250 0.542 Pu
0.879 0.750 0.458 Pu
0.377 0.750 0.847 Zr
0.623 0.250 0.153 Zr
0.136 0.250 0.849 N
0.316 0.750 0.584 N
0.393 0.750 0.130 N
0.607 0.250 0.870 N
0.684 0.250 0.416 N
0.864 0.750 0.151 N
```

Main lines, most intense first (15 to 90 degrees two-theta):
d/Å, 2θ (°), Rel. int.
2.371, 38.0, 100
1.737, 52.7, 59
2.659, 33.7, 48
5.396, 16.4, 43
2.515, 35.7, 41
3.548, 25.1, 37
2.698, 33.2, 28
2.937, 30.4, 27
1.804, 50.6, 27
5.102, 17.4, 26
1.948, 46.6, 24
2.551, 35.2, 19


The following is a computed XRD peak list of CsCePaO6. It was derived from a cell relaxed with GGA-PBE, using Cu Kα, 1.54184 Å.
Neutral-atom scattering factors, no anomalous dispersion.

Crystal structure
```
CsCePaO6
1.0
-4.038 4.135 5.826
4.038 -4.135 5.826
4.038 4.135 -5.826
Cs Ce Pa O
2 2 2 12
Direct
0.355 0.105 0.250 Cs
0.645 0.895 0.750 Cs
0.000 0.000 0.500 Ce
0.000 0.500 0.000 Ce
0.000 0.500 0.500 Pa
0.500 0.500 0.000 Pa
0.062 0.432 0.256 O
0.062 0.806 0.630 O
0.067 0.817 0.250 O
0.310 0.560 0.750 O
0.324 0.194 0.756 O
0.324 0.568 0.130 O
0.676 0.432 0.870 O
0.676 0.806 0.244 O
0.690 0.440 0.250 O
0.933 0.183 0.750 O
0.938 0.194 0.370 O
0.938 0.568 0.744 O
```

Main lines, most intense first (15 to 90 degrees two-theta):
d/Å, 2θ (°), Rel. int.
3.511, 25.4, 100
3.319, 26.9, 46
2.051, 44.2, 41
3.372, 26.4, 35
3.465, 25.7, 33
2.214, 40.8, 27
3.500, 25.4, 27
1.756, 52.1, 25
2.237, 40.3, 17
4.102, 21.7, 12
2.247, 40.1, 12
2.067, 43.8, 11


The following is a computed XRD peak list of TbBe2Pd5Au. It was derived from a cell relaxed with GGA-PBE, using Cu Kα, 1.54184 Å.
Neutral-atom scattering factors, no anomalous dispersion.

Crystal structure
```
TbBe2Pd5Au
1.0
4.347 0.000 0.000
0.000 4.347 0.000
0.000 0.000 7.523
Tb Be Pd Au
1 2 5 1
Direct
0.000 0.000 0.000 Tb
0.500 0.500 0.335 Be
0.500 0.500 0.665 Be
0.000 0.500 0.263 Pd
0.000 0.500 0.737 Pd
0.500 0.000 0.263 Pd
0.500 0.000 0.737 Pd
0.500 0.500 0.000 Pd
0.000 0.000 0.500 Au
```

Main lines, most intense first (15 to 90 degrees two-theta):
d/Å, 2θ (°), Rel. int.
2.380, 37.8, 100
2.173, 41.5, 43
1.291, 73.3, 28
1.422, 65.6, 20
4.347, 20.4, 16
2.845, 31.4, 15
1.537, 60.2, 15
1.881, 48.4, 14
1.190, 80.7, 12
1.161, 83.2, 10
1.727, 53.0, 9
3.764, 23.6, 9


The following is a computed XRD peak list of K2ScTeS4. It was derived from a cell relaxed with GGA-PBE, using Cu Kα, 1.54184 Å.
Neutral-atom scattering factors, no anomalous dispersion.

Crystal structure
```
K2ScTeS4
1.0
5.715 -5.714 0.000
5.715 5.714 0.000
-4.954 0.000 6.231
K Sc Te S
4 2 2 8
Direct
0.000 0.000 0.000 K
0.000 0.000 0.500 K
0.000 0.500 0.000 K
0.500 0.000 0.500 K
0.500 0.500 0.000 Sc
0.500 0.500 0.500 Sc
0.000 0.500 0.500 Te
0.500 0.000 0.000 Te
0.247 0.702 0.489 S
0.284 0.316 0.570 S
0.298 0.753 0.011 S
0.316 0.284 0.070 S
0.684 0.716 0.930 S
0.702 0.247 0.989 S
0.716 0.684 0.430 S
0.753 0.298 0.511 S
```

Main lines, most intense first (15 to 90 degrees two-theta):
d/Å, 2θ (°), Rel. int.
3.116, 28.7, 100
2.857, 31.3, 82
2.837, 31.5, 82
2.106, 43.0, 57
2.013, 45.0, 54
3.523, 25.3, 38
2.237, 40.3, 32
3.829, 23.2, 27
1.981, 45.8, 27
1.761, 51.9, 26
3.256, 27.4, 26
1.628, 56.5, 25


The following is a computed XRD peak list of SmTm3C8. It was derived from a cell relaxed with GGA-PBE, using Cu Kα, 1.54184 Å.
Neutral-atom scattering factors, no anomalous dispersion.

Crystal structure
```
SmTm3C8
1.0
0.000 4.780 4.030
4.642 0.000 4.030
4.642 4.780 0.000
Sm Tm C
1 3 8
Direct
0.000 0.000 0.000 Sm
0.267 0.267 0.233 Tm
0.495 0.495 0.505 Tm
0.767 0.767 0.733 Tm
0.090 0.429 0.571 C
0.112 0.598 0.888 C
0.383 0.878 0.122 C
0.429 0.090 0.910 C
0.559 0.898 0.441 C
0.598 0.112 0.402 C
0.878 0.383 0.617 C
0.898 0.559 0.102 C
```

Main lines, most intense first (15 to 90 degrees two-theta):
d/Å, 2θ (°), Rel. int.
3.330, 26.8, 100
3.043, 29.3, 98
3.081, 29.0, 97
1.880, 48.4, 54
1.854, 49.1, 51
1.724, 53.1, 38
2.390, 37.6, 30
2.321, 38.8, 28
1.665, 55.2, 18
2.015, 45.0, 15
1.249, 76.2, 13
1.236, 77.2, 13


The following is a computed XRD peak list of Ga4Sn5Pb. It was derived from a cell relaxed with GGA-PBE, using Cu Kα, 1.54184 Å.
Neutral-atom scattering factors, no anomalous dispersion.

Crystal structure
```
Ga4Sn5Pb
1.0
3.386 0.000 0.000
0.000 3.985 0.000
-0.001 0.000 18.266
Ga Sn Pb
4 5 1
Direct
0.003 0.000 0.095 Ga
0.006 0.000 0.285 Ga
0.994 0.000 0.715 Ga
0.997 0.000 0.905 Ga
0.496 0.500 0.622 Sn
0.497 0.500 0.810 Sn
0.500 0.500 0.000 Sn
0.503 0.500 0.190 Sn
0.504 0.500 0.378 Sn
0.000 0.000 0.500 Pb
```

Main lines, most intense first (15 to 90 degrees two-theta):
d/Å, 2θ (°), Rel. int.
2.580, 34.8, 100
2.693, 33.3, 96
2.483, 36.2, 78
1.554, 59.5, 38
1.433, 65.1, 28
1.993, 45.5, 24
1.491, 62.3, 23
1.693, 54.2, 14
1.290, 73.4, 12
3.003, 29.8, 11
1.237, 77.1, 11
3.333, 26.7, 10


Copy entry 6 word for word.
The following is a computed XRD peak list of K2ScTeS4. It was derived from a cell relaxed with GGA-PBE, using Cu Kα, 1.54184 Å.
Neutral-atom scattering factors, no anomalous dispersion.

Crystal structure
```
K2ScTeS4
1.0
5.715 -5.714 0.000
5.715 5.714 0.000
-4.954 0.000 6.231
K Sc Te S
4 2 2 8
Direct
0.000 0.000 0.000 K
0.000 0.000 0.500 K
0.000 0.500 0.000 K
0.500 0.000 0.500 K
0.500 0.500 0.000 Sc
0.500 0.500 0.500 Sc
0.000 0.500 0.500 Te
0.500 0.000 0.000 Te
0.247 0.702 0.489 S
0.284 0.316 0.570 S
0.298 0.753 0.011 S
0.316 0.284 0.070 S
0.684 0.716 0.930 S
0.702 0.247 0.989 S
0.716 0.684 0.430 S
0.753 0.298 0.511 S
```

Main lines, most intense first (15 to 90 degrees two-theta):
d/Å, 2θ (°), Rel. int.
3.116, 28.7, 100
2.857, 31.3, 82
2.837, 31.5, 82
2.106, 43.0, 57
2.013, 45.0, 54
3.523, 25.3, 38
2.237, 40.3, 32
3.829, 23.2, 27
1.981, 45.8, 27
1.761, 51.9, 26
3.256, 27.4, 26
1.628, 56.5, 25